Entry 1:
LiH2N: calculated X-ray powder pattern (Cu Kα, 1.54184 Å), based on a DFT-relaxed cell (PBE, the Materials Project).
Neutral-atom scattering factors, no anomalous dispersion.

Top 12 peaks for 5° ≤ 2θ ≤ 70°, most intense first:
| hkl | 2theta | I_rel |
| --- | --- | --- |
| 1 1 2 | 30.10 | 100 |
| 2 0 4 | 49.86 | 26 |
| 2 2 0 | 50.78 | 12 |
| 2 0 0 | 35.30 | 11 |
| 3 1 2 | 60.16 | 10 |
| 0 0 4 | 34.06 | 7 |
| 1 0 1 | 19.38 | 6 |
| 1 1 6 | 58.53 | 6 |
| 0 0 2 | 16.84 | 5 |
| 1 1 4 | 42.56 | 3 |
| 2 1 1 | 40.58 | 2 |
| 2 0 6 | 64.53 | 2 |

Atomic structure:
```
data_LiH2N
_chemical_formula_sum 'Li8 H16 N8'
_cell_length_a 5.085
_cell_length_b 5.085
_cell_length_c 10.529
_cell_angle_alpha 90.00
_cell_angle_beta 90.00
_cell_angle_gamma 90.00
_symmetry_space_group_name_H-M 'I -4'
_symmetry_Int_Tables_number 82
_symmetry_space_group_name_Hall 'I -4'
loop_
_atom_site_label
_atom_site_type_symbol
_atom_site_fract_x
_atom_site_fract_y
_atom_site_fract_z
_atom_site_occupancy
Li1 Li 0.000 0.000 0.000 1
Li2 Li 0.000 0.000 0.242 1
Li3 Li 0.000 0.500 0.250 1
H1 H 0.093 0.665 0.627 1
H2 H 0.116 0.274 0.440 1
N1 N 0.227 0.746 0.136 1
```

---

Entry 2:
LiH2N: calculated X-ray powder pattern (Cu Kα, 1.54184 Å), based on a DFT-relaxed cell (PBE, the Materials Project).
Neutral-atom scattering factors, no anomalous dispersion.

Top 12 peaks for 5° ≤ 2θ ≤ 70°, most intense first:
| hkl | 2theta | I_rel |
| --- | --- | --- |
| 2 0 2 | 30.97 | 100 |
| 0 2 2 | 30.79 | 93 |
| 2 2 4 | 50.67 | 55 |
| 2 2 0 | 36.95 | 18 |
| 0 0 4 | 33.41 | 18 |
| 1 1 1 | 20.04 | 11 |
| 2 4 2 | 62.68 | 11 |
| 4 2 2 | 62.99 | 10 |
| 0 4 0 | 53.02 | 10 |
| 0 2 6 | 58.10 | 10 |
| 4 0 0 | 53.49 | 10 |
| 2 0 6 | 58.21 | 6 |

Atomic structure:
```
data_LiH2N
_chemical_formula_sum 'Li16 H32 N16'
_cell_length_a 6.852
_cell_length_b 6.909
_cell_length_c 10.727
_cell_angle_alpha 90.00
_cell_angle_beta 90.00
_cell_angle_gamma 90.00
_symmetry_space_group_name_H-M 'F d d d'
_symmetry_Int_Tables_number 70
loop_
_symmetry_equiv_pos_as_xyz
'x,y,z'
'-x,-y,-z'
'-x+1/4,-y+1/4,z'
'x+1/4,y+1/4,-z'
'x,-y+1/4,-z+1/4'
'-x,y+1/4,z+1/4'
'-x+1/4,y,-z+1/4'
'x+1/4,-y,z+1/4'
'x,y+1/2,z+1/2'
'-x,-y+1/2,-z+1/2'
'-x+1/4,-y+3/4,z+1/2'
'x+1/4,y+3/4,-z+1/2'
'x,-y+3/4,-z+3/4'
'-x,y+3/4,z+3/4'
'-x+1/4,y+1/2,-z+3/4'
'x+1/4,-y+1/2,z+3/4'
'x+1/2,y,z+1/2'
'-x+1/2,-y,-z+1/2'
'-x+3/4,-y+1/4,z+1/2'
'x+3/4,y+1/4,-z+1/2'
'x+1/2,-y+1/4,-z+3/4'
'-x+1/2,y+1/4,z+3/4'
'-x+3/4,y,-z+3/4'
'x+3/4,-y,z+3/4'
'x+1/2,y+1/2,z'
'-x+1/2,-y+1/2,-z'
'-x+3/4,-y+3/4,z'
'x+3/4,y+3/4,-z'
'x+1/2,-y+3/4,-z+1/4'
'-x+1/2,y+3/4,z+1/4'
'-x+3/4,y+1/2,-z+1/4'
'x+3/4,-y+1/2,z+1/4'
loop_
_atom_site_label
_atom_site_type_symbol
_atom_site_fract_x
_atom_site_fract_y
_atom_site_fract_z
_atom_site_occupancy
Li1 Li 0.125 0.125 0.007 1
H1 H 0.027 0.292 0.666 1
N1 N 0.125 0.364 0.125 1
```

---

Repeat the second record exactly.
LiH2N: calculated X-ray powder pattern (Cu Kα, 1.54184 Å), based on a DFT-relaxed cell (PBE, the Materials Project).
Neutral-atom scattering factors, no anomalous dispersion.

Top 12 peaks for 5° ≤ 2θ ≤ 70°, most intense first:
| hkl | 2theta | I_rel |
| --- | --- | --- |
| 2 0 2 | 30.97 | 100 |
| 0 2 2 | 30.79 | 93 |
| 2 2 4 | 50.67 | 55 |
| 2 2 0 | 36.95 | 18 |
| 0 0 4 | 33.41 | 18 |
| 1 1 1 | 20.04 | 11 |
| 2 4 2 | 62.68 | 11 |
| 4 2 2 | 62.99 | 10 |
| 0 4 0 | 53.02 | 10 |
| 0 2 6 | 58.10 | 10 |
| 4 0 0 | 53.49 | 10 |
| 2 0 6 | 58.21 | 6 |

Atomic structure:
```
data_LiH2N
_chemical_formula_sum 'Li16 H32 N16'
_cell_length_a 6.852
_cell_length_b 6.909
_cell_length_c 10.727
_cell_angle_alpha 90.00
_cell_angle_beta 90.00
_cell_angle_gamma 90.00
_symmetry_space_group_name_H-M 'F d d d'
_symmetry_Int_Tables_number 70
loop_
_symmetry_equiv_pos_as_xyz
'x,y,z'
'-x,-y,-z'
'-x+1/4,-y+1/4,z'
'x+1/4,y+1/4,-z'
'x,-y+1/4,-z+1/4'
'-x,y+1/4,z+1/4'
'-x+1/4,y,-z+1/4'
'x+1/4,-y,z+1/4'
'x,y+1/2,z+1/2'
'-x,-y+1/2,-z+1/2'
'-x+1/4,-y+3/4,z+1/2'
'x+1/4,y+3/4,-z+1/2'
'x,-y+3/4,-z+3/4'
'-x,y+3/4,z+3/4'
'-x+1/4,y+1/2,-z+3/4'
'x+1/4,-y+1/2,z+3/4'
'x+1/2,y,z+1/2'
'-x+1/2,-y,-z+1/2'
'-x+3/4,-y+1/4,z+1/2'
'x+3/4,y+1/4,-z+1/2'
'x+1/2,-y+1/4,-z+3/4'
'-x+1/2,y+1/4,z+3/4'
'-x+3/4,y,-z+3/4'
'x+3/4,-y,z+3/4'
'x+1/2,y+1/2,z'
'-x+1/2,-y+1/2,-z'
'-x+3/4,-y+3/4,z'
'x+3/4,y+3/4,-z'
'x+1/2,-y+3/4,-z+1/4'
'-x+1/2,y+3/4,z+1/4'
'-x+3/4,y+1/2,-z+1/4'
'x+3/4,-y+1/2,z+1/4'
loop_
_atom_site_label
_atom_site_type_symbol
_atom_site_fract_x
_atom_site_fract_y
_atom_site_fract_z
_atom_site_occupancy
Li1 Li 0.125 0.125 0.007 1
H1 H 0.027 0.292 0.666 1
N1 N 0.125 0.364 0.125 1
```